For CoGeSeO, DFT lattice parameters and positions (GGA+U) gives the computed X-ray powder pattern in this record (CuKα).
Lines closer than 0.1° are merged.

Atomic structure:
```
data_CoGeSeO
_cell_length_a 7.6704
_cell_length_b 6.9741
_cell_length_c 5.7019
_cell_angle_alpha 90.00
_cell_angle_beta 90.00
_cell_angle_gamma 90.00
_symmetry_space_group_name_H-M 'P c a 21'
_symmetry_Int_Tables_number 29
loop_
_symmetry_equiv_pos_as_xyz
'x,y,z'
'-x,-y,z+1/2'
'-x+1/2,y,z+1/2'
'x+1/2,-y,z'
loop_
_atom_site_label
_atom_site_type_symbol
_atom_site_fract_x
_atom_site_fract_y
_atom_site_fract_z
_atom_site_occupancy
Co1 Co 0.0900 0.1604 0.0000 1
Ge1 Ge 0.1122 0.6111 0.9040 1
Se1 Se 0.0948 0.1225 0.5771 1
O1 O 0.0238 0.4149 0.1096 1
```

Main lines, low angle first (2θ from 5° to 70°):
hkl	2theta	I_rel
2 0 0	23.2	31
1 2 0	28.1	100
2 1 1	30.9	31
0 0 2	31.4	31
1 2 1	32.3	35
0 1 2	34.0	24
1 1 2	36.0	19
3 2 0	43.9	46
3 1 2	49.6	21
1 2 3	56.4	25